Calculated X-ray powder pattern
Compound: Sr2Mg
Radiation: a wavelength of 1.5418 Å
Structure: a DFT-relaxed cell (PBE, the Materials Project)
Neutral-atom scattering factors, no anomalous dispersion.

Structural model:
a b c (Å): 13.801 6.100 6.097
angles (deg): 90.00 90.00 90.00
Element x y z (fractional)
1 Sr 0.143 0.247 0.250
2 Sr 0.143 0.753 0.750
3 Sr 0.357 0.253 0.750
4 Sr 0.357 0.747 0.250
5 Sr 0.643 0.253 0.750
6 Sr 0.643 0.747 0.250
7 Sr 0.857 0.247 0.250
8 Sr 0.857 0.753 0.750
9 Mg 0.000 0.265 0.750
10 Mg 0.000 0.735 0.250
11 Mg 0.500 0.235 0.250
12 Mg 0.500 0.765 0.750

Largest 8 diffraction maxima, by intensity, 2θ = 10–90°:
h k l	Position (°2θ)	intensity
3 1 1	28.37	100.0
0 0 2	29.29	54.9
1 1 1	21.59	40.1
3 1 3	51.37	37.1
4 2 0	39.44	21.2
0 2 2	41.90	20.4
4 0 0	25.82	16.3
7 1 1	50.93	12.9